[1]
KRb12Na5: computed X-ray diffraction stick pattern (copper Kα), based on a crystal structure in Alexandria, relaxed with PBE.
Peak positions follow from Bragg's law for the DFT cell and can differ from measured ones.

Peak list (6 most intense, 15 to 90 degrees two-theta, in order of rising 2θ)
2θ (°)	I/Imax	hkl
22.25	100	2 2 2
22.87	42	1 2 3
24.83	33	3 1 2
25.20	28	3 2 1
25.59	28	0 4 0
40.49	25	3 5 2

Structure:
Unit cell a=12.782 b=13.926 c=15.110 alpha=90.00 beta=90.00 gamma=90.00
Space group Immm (No. 71)
One atom of each set of equivalent atoms:
K 0.000 0.000 0.000 (multiplicity 2)
Rb 0.000 0.293 0.183 (multiplicity 8)
Rb 0.187 0.275 0.500 (multiplicity 8)
Rb 0.198 0.000 0.260 (multiplicity 8)
Na 0.000 0.000 0.500 (multiplicity 2)
Na 0.000 0.500 0.383 (multiplicity 4)
Na 0.143 0.500 0.000 (multiplicity 4)



[2]
Er2CuTe2S2O14: computed X-ray diffraction stick pattern (copper Kα), based on a crystal structure in Alexandria, relaxed with PBE.
Peak positions follow from Bragg's law for the DFT cell and can differ from measured ones.

Peak list (6 most intense, 15 to 90 degrees two-theta, in order of rising 2θ)
2θ (°)	I/Imax	hkl
24.47	67	1 0 -1
24.80	69	1 1 2
25.61	100	0 2 0
27.17	46	1 0 2
30.11	73	-1 2 1
35.02	60	1 0 -2

Structure:
Unit cell a=5.194 b=7.908 c=8.179 alpha=61.75 beta=74.52 gamma=85.24
Space group P-1 (No. 2)
One atom of each set of equivalent atoms:
Er 0.064 0.251 0.020 (multiplicity 2)
Cu 0.000 0.000 0.500 (multiplicity 1)
Te 0.493 0.728 0.654 (multiplicity 2)
S 0.264 0.745 0.249 (multiplicity 2)
O 0.155 0.583 0.236 (multiplicity 2)
O 0.157 0.736 0.438 (multiplicity 2)
O 0.173 0.921 0.095 (multiplicity 2)
O 0.248 0.560 0.889 (multiplicity 2)
O 0.254 0.931 0.658 (multiplicity 2)
O 0.267 0.187 0.254 (multiplicity 2)
O 0.440 0.259 0.794 (multiplicity 2)



[3]
CoAgHg: computed X-ray diffraction stick pattern (copper Kα), based on a crystal structure in Alexandria, relaxed with PBE.
Peak positions follow from Bragg's law for the DFT cell and can differ from measured ones.

Peak list (6 most intense, 15 to 90 degrees two-theta, in order of rising 2θ)
2θ (°)	I/Imax	hkl
37.69	100	1 0 1
39.16	24	0 0 3
44.24	56	0 1 2
63.32	19	1 1 0
65.36	20	1 0 4
77.04	19	1 1 3

Structure:
Unit cell a=2.9374 b=2.9374 c=6.9005 alpha=90.00 beta=90.00 gamma=120.00
Space group P3m1 (No. 156)
One atom of each set of equivalent atoms:
Co 0.0000 0.0000 0.0000 (multiplicity 1)
Ag 0.3333 0.6667 0.6928 (multiplicity 1)
Hg 0.6667 0.3333 0.3213 (multiplicity 1)